Record 1
For ErSnRu2, a PBE-relaxed structure gives the theoretical powder XRD pattern in this record (λ = 1.5418 Å (Cu Kα)).
Peak positions follow from Bragg's law for the DFT cell and can differ from measured ones.

Peak list (6 most intense, 2θ from 10° to 90°, in order of rising 2θ)
23.4 deg, I = 2
27.1 deg, I = 3
38.7 deg, I = 100
55.8 deg, I = 17
70.0 deg, I = 35
83.0 deg, I = 11

Atomic structure:
```
ErSnRu2
1.0
6.585 0.000 0.000
0.000 6.585 0.000
0.000 0.000 6.585
Er Sn Ru
4 4 8
direct
0.000 0.000 0.000
0.000 0.500 0.500
0.500 0.000 0.500
0.500 0.500 0.000
0.000 0.000 0.500
0.000 0.500 0.000
0.500 0.000 0.000
0.500 0.500 0.500
0.250 0.250 0.250
0.250 0.250 0.750
0.250 0.750 0.250
0.250 0.750 0.750
0.750 0.250 0.250
0.750 0.250 0.750
0.750 0.750 0.250
0.750 0.750 0.750
```

Record 2
For HgS4, a PBE-relaxed structure gives the theoretical powder XRD pattern in this record (λ = 1.5418 Å (Cu Kα)).
Peak positions follow from Bragg's law for the DFT cell and can differ from measured ones.

Peak list (6 most intense, 2θ from 10° to 90°, in order of rising 2θ)
11.7 deg, I = 26
13.4 deg, I = 100
18.5 deg, I = 29
19.5 deg, I = 80
26.6 deg, I = 25
28.4 deg, I = 24

Atomic structure:
```
HgS4
1.0
12.173 0.000 0.000
0.000 9.689 0.000
0.000 0.000 13.193
Hg S
4 16
direct
0.094 0.105 0.250
0.094 0.395 0.750
0.906 0.605 0.250
0.906 0.895 0.750
0.373 0.130 0.130
0.373 0.130 0.370
0.373 0.370 0.630
0.373 0.370 0.870
0.476 0.618 0.169
0.476 0.618 0.331
0.476 0.882 0.669
0.476 0.882 0.831
0.524 0.118 0.169
0.524 0.118 0.331
0.524 0.382 0.669
0.524 0.382 0.831
0.627 0.630 0.130
0.627 0.630 0.370
0.627 0.870 0.630
0.627 0.870 0.870
```

Record 3
For Be3Co, a PBE-relaxed structure gives the theoretical powder XRD pattern in this record (λ = 1.5418 Å (Cu Kα)).
Peak positions follow from Bragg's law for the DFT cell and can differ from measured ones.

Peak list (6 most intense, 2θ from 10° to 90°, in order of rising 2θ)
22.3 deg, I = 46
33.4 deg, I = 100
39.2 deg, I = 42
52.4 deg, I = 52
65.5 deg, I = 16
67.4 deg, I = 22

Atomic structure:
```
Be3Co
1.0
4.595 0.000 0.000
-2.297 3.979 0.000
0.000 0.000 3.631
Be Co
6 2
direct
0.166 0.332 0.250
0.166 0.834 0.250
0.332 0.166 0.750
0.668 0.834 0.250
0.834 0.166 0.750
0.834 0.668 0.750
0.333 0.667 0.750
0.667 0.333 0.250
```

Record 4
For Rb3NpO9, a PBE-relaxed structure gives the theoretical powder XRD pattern in this record (λ = 1.5418 Å (Cu Kα)).
Peak positions follow from Bragg's law for the DFT cell and can differ from measured ones.

Peak list (6 most intense, 2θ from 10° to 90°, in order of rising 2θ)
15.1 deg, I = 100
17.0 deg, I = 47
22.1 deg, I = 46
25.9 deg, I = 56
27.4 deg, I = 83
28.6 deg, I = 70

Atomic structure:
```
Rb3NpO9
1.0
5.948 -5.531 0.000
5.948 5.531 0.000
-1.264 0.000 7.533
Rb Np O
6 2 18
direct
0.034 0.966 0.750
0.228 0.424 0.567
0.424 0.228 0.067
0.576 0.772 0.933
0.772 0.576 0.433
0.966 0.034 0.250
0.000 0.500 0.000
0.500 0.000 0.500
0.024 0.398 0.211
0.116 0.316 0.885
0.192 0.739 0.456
0.261 0.808 0.044
0.271 0.648 0.073
0.316 0.116 0.385
0.352 0.729 0.427
0.398 0.024 0.711
0.398 0.602 0.250
0.602 0.398 0.750
0.602 0.976 0.289
0.648 0.271 0.573
0.684 0.884 0.615
0.729 0.352 0.927
0.739 0.192 0.956
0.808 0.261 0.544
0.884 0.684 0.115
0.976 0.602 0.789
```

Record 5
For Mg5Ga, a PBE-relaxed structure gives the theoretical powder XRD pattern in this record (λ = 1.5418 Å (Cu Kα)).
Peak positions follow from Bragg's law for the DFT cell and can differ from measured ones.

Peak list (6 most intense, 2θ from 10° to 90°, in order of rising 2θ)
12.6 deg, I = 53
33.1 deg, I = 53
35.3 deg, I = 76
36.3 deg, I = 54
37.2 deg, I = 100
38.2 deg, I = 92

Atomic structure:
```
Mg5Ga
1.0
11.876 0.000 0.000
0.000 3.110 0.000
-1.682 0.000 7.030
Mg Ga
10 2
direct
0.000 0.000 0.000
0.055 0.000 0.602
0.171 0.500 0.328
0.226 0.500 0.944
0.335 0.000 0.660
0.500 0.500 0.000
0.555 0.500 0.602
0.671 0.000 0.328
0.726 0.000 0.944
0.835 0.500 0.660
0.392 0.000 0.275
0.892 0.500 0.275
```

Record 6
For Mg2NiB2Ir5, a PBE-relaxed structure gives the theoretical powder XRD pattern in this record (λ = 1.5418 Å (Cu Kα)).
Peak positions follow from Bragg's law for the DFT cell and can differ from measured ones.

Peak list (6 most intense, 2θ from 10° to 90°, in order of rising 2θ)
30.4 deg, I = 90
34.6 deg, I = 56
39.7 deg, I = 77
43.4 deg, I = 100
46.7 deg, I = 58
50.8 deg, I = 54

Atomic structure:
```
Mg2NiB2Ir5
1.0
9.358 0.000 0.000
0.000 9.358 0.000
0.000 0.000 2.943
Mg Ni B Ir
4 2 4 10
direct
0.175 0.325 0.000
0.325 0.825 0.000
0.675 0.175 0.000
0.825 0.675 0.000
0.000 0.000 0.000
0.500 0.500 0.000
0.128 0.628 0.000
0.372 0.128 0.000
0.628 0.872 0.000
0.872 0.372 0.000
0.000 0.500 0.500
0.072 0.788 0.500
0.212 0.072 0.500
0.288 0.572 0.500
0.428 0.288 0.500
0.500 0.000 0.500
0.572 0.712 0.500
0.712 0.428 0.500
0.788 0.928 0.500
0.928 0.212 0.500
```

Record 7
For RbC8, a PBE-relaxed structure gives the theoretical powder XRD pattern in this record (λ = 1.5418 Å (Cu Kα)).
Peak positions follow from Bragg's law for the DFT cell and can differ from measured ones.

Peak list (6 most intense, 2θ from 10° to 90°, in order of rising 2θ)
21.0 deg, I = 100
22.0 deg, I = 88
23.7 deg, I = 74
28.4 deg, I = 48
31.1 deg, I = 76
44.9 deg, I = 81

Atomic structure:
```
RbC8
1.0
0.000 4.309 11.490
2.487 0.000 11.490
2.487 4.309 0.000
Rb C
2 16
direct
0.125 0.125 0.125
0.875 0.875 0.875
0.084 0.416 0.833
0.085 0.418 0.332
0.167 0.833 0.416
0.167 0.833 0.916
0.332 0.666 0.085
0.334 0.668 0.582
0.416 0.084 0.167
0.418 0.085 0.666
0.582 0.915 0.334
0.584 0.916 0.833
0.666 0.332 0.418
0.668 0.334 0.915
0.833 0.167 0.084
0.833 0.167 0.584
0.915 0.582 0.668
0.916 0.584 0.167
```